Diffraction record for GdAl3P3. The powder diffraction line list is computed, not measured: it uses a GGA-PBE-relaxed structure and a wavelength of 1.5418 Å.
No peak broadening, texture or thermal motion is included.

Main lines, low angle first (5 to 70 degrees two-theta):
| h k l | 2θ (°) | Rel. int. |
| --- | --- | --- |
| 0 0 2 | 9.88 | 75 |
| 1 0 2 | 26.49 | 100 |
| 1 0 4 | 31.73 | 67 |
| 1 0 6 | 39.07 | 57 |
| 0 0 8 | 40.29 | 14 |
| 1 1 0 | 43.16 | 48 |
| 2 0 2 | 51.36 | 16 |
| 2 0 4 | 54.55 | 14 |
| 2 0 6 | 59.62 | 16 |
| 1 1 8 | 60.51 | 25 |

Cell and atoms:
```
data_GdAl3P3
_chemical_formula_sum 'Gd2 Al6 P6'
_space_group_name_H-M_alt 'P 63/m m c'
_space_group_IT_number 194
_space_group_name_Hall '-P 6c 2c'
_cell_length_a 4.1919
_cell_length_b 4.1919
_cell_length_c 17.9074
_cell_angle_alpha 90.00
_cell_angle_beta 90.00
_cell_angle_gamma 120.00
loop_
_atom_site_label
_atom_site_fract_x
_atom_site_fract_y
_atom_site_fract_z
_atom_site_occupancy
Gd1 0.0000 0.0000 0.0000 1
Al1 0.3333 0.6667 0.1169 1
Al2 0.3333 0.6667 0.7500 1
P1 0.3333 0.6667 0.2500 1
P2 0.3333 0.6667 0.5983 1
```